No. 1
This entry pairs a crystal structure of KRb2Ba2Sr4 with its calculated powder diffraction line list. Radiation: Cu Kα (λ = 1.5418 Å). Structure: a structure optimized by DFT (PBE).
Peak positions follow from Bragg's law for the DFT cell and can differ from measured ones.

Crystal structure
Cell lengths 4.4220, 4.4220, 34.4495 Å; angles 90.00, 90.00, 120.00 degrees
Positions (direct):
K: 0.0000 0.0000 0.0000
Rb: 0.6667 0.3333 0.1212
Rb: 0.6667 0.3333 0.8791
Ba: 0.0000 0.0000 0.6502
Ba: 0.6667 0.3333 0.3395
Sr: 0.0000 0.0000 0.2360
Sr: 0.0000 0.0000 0.4445
Sr: 0.6667 0.3333 0.5453
Sr: 0.6667 0.3333 0.7532

Largest 10 diffraction maxima, sorted by position, 2θ from 10° to 90°:
| Position (°2θ) | intensity |
| --- | --- |
| 23.2 | 70 |
| 25.5 | 46 |
| 26.6 | 100 |
| 33.1 | 19 |
| 40.8 | 35 |
| 43.7 | 20 |
| 46.1 | 19 |
| 47.5 | 32 |
| 49.4 | 18 |
| 65.9 | 15 |

---

No. 2
This entry pairs a crystal structure of Mg3Ti2O7 with its calculated powder diffraction line list. Radiation: Cu Kα (λ = 1.5418 Å). Structure: a structure optimized by DFT (PBE).
Peak positions follow from Bragg's law for the DFT cell and can differ from measured ones.

Crystal structure
Cell lengths 9.3215, 9.3215, 5.3679 Å; angles 90.00, 90.00, 32.34 degrees
Positions (direct):
Mg: 0.0633 0.5482 0.6142
Mg: 0.2387 0.7613 0.5000
Mg: 0.4518 0.9367 0.6142
Mg: 0.5482 0.0633 0.1142
Mg: 0.7613 0.2387 0.0000
Mg: 0.9367 0.4518 0.1142
Ti: 0.1529 0.6348 0.0591
Ti: 0.3652 0.8471 0.0591
Ti: 0.6348 0.1529 0.5591
Ti: 0.8471 0.3652 0.5591
O: 0.0689 0.1952 0.8451
O: 0.1373 0.8627 0.1056
O: 0.1645 0.4230 0.9891
O: 0.1952 0.0689 0.3451
O: 0.3418 0.4982 0.7143
O: 0.4230 0.1645 0.4891
O: 0.4982 0.3418 0.2143
O: 0.5018 0.6582 0.7143
O: 0.5770 0.8355 0.9891
O: 0.6582 0.5018 0.2143
O: 0.8048 0.9311 0.8451
O: 0.8355 0.5770 0.4891
O: 0.8627 0.1373 0.6056
O: 0.9311 0.8048 0.3451

Largest 10 diffraction maxima, sorted by position, 2θ from 10° to 90°:
| Position (°2θ) | intensity |
| --- | --- |
| 19.8 | 33 |
| 24.4 | 33 |
| 33.4 | 40 |
| 34.5 | 30 |
| 34.7 | 100 |
| 39.3 | 18 |
| 48.8 | 39 |
| 51.0 | 21 |
| 60.5 | 22 |
| 62.0 | 44 |

---

No. 3
This entry pairs a crystal structure of Ac2SmSn5 with its calculated powder diffraction line list. Radiation: Cu Kα (λ = 1.5418 Å). Structure: a structure optimized by DFT (PBE).
Peak positions follow from Bragg's law for the DFT cell and can differ from measured ones.

Crystal structure
Cell lengths 7.5264, 7.5264, 8.6078 Å; angles 90.00, 90.00, 90.00 degrees
Positions (direct):
Ac: 0.0000 0.5000 0.0000
Ac: 0.0000 0.5000 0.5000
Ac: 0.5000 0.0000 0.0000
Ac: 0.5000 0.0000 0.5000
Sm: 0.0000 0.0000 0.3929
Sm: 0.5000 0.5000 0.8929
Sn: 0.0000 0.0000 0.0038
Sn: 0.2109 0.2109 0.7420
Sn: 0.2109 0.7891 0.7420
Sn: 0.2891 0.2891 0.2420
Sn: 0.2891 0.7109 0.2420
Sn: 0.5000 0.5000 0.5038
Sn: 0.7109 0.2891 0.2420
Sn: 0.7109 0.7109 0.2420
Sn: 0.7891 0.2109 0.7420
Sn: 0.7891 0.7891 0.7420

Largest 10 diffraction maxima, sorted by position, 2θ from 10° to 90°:
| Position (°2θ) | intensity |
| --- | --- |
| 26.6 | 17 |
| 28.5 | 10 |
| 31.6 | 100 |
| 33.7 | 47 |
| 37.3 | 11 |
| 48.4 | 14 |
| 54.3 | 10 |
| 54.9 | 13 |
| 57.8 | 10 |
| 58.9 | 23 |

---

No. 4
This entry pairs a crystal structure of AcHgRh2 with its calculated powder diffraction line list. Radiation: Cu Kα (λ = 1.5418 Å). Structure: a structure optimized by DFT (PBE).
Peak positions follow from Bragg's law for the DFT cell and can differ from measured ones.

Crystal structure
Cell lengths 5.4725, 4.4696, 7.3592 Å; angles 90.00, 90.00, 90.00 degrees
Positions (direct):
Ac: 0.2500 0.0000 0.2177
Ac: 0.7500 0.0000 0.7823
Hg: 0.2500 0.5000 0.8508
Hg: 0.7500 0.5000 0.1492
Rh: 0.0000 0.5000 0.5000
Rh: 0.2500 0.0000 0.6137
Rh: 0.5000 0.5000 0.5000
Rh: 0.7500 0.0000 0.3863

Largest 10 diffraction maxima, sorted by position, 2θ from 10° to 90°:
| Position (°2θ) | intensity |
| --- | --- |
| 28.5 | 100 |
| 31.5 | 22 |
| 32.7 | 33 |
| 35.6 | 88 |
| 36.6 | 18 |
| 40.3 | 66 |
| 40.6 | 28 |
| 41.1 | 25 |
| 59.0 | 18 |
| 60.3 | 19 |

---

No. 5
This entry pairs a crystal structure of BaCa6Ac8 with its calculated powder diffraction line list. Radiation: Cu Kα (λ = 1.5418 Å). Structure: a structure optimized by DFT (PBE).
Peak positions follow from Bragg's law for the DFT cell and can differ from measured ones.

Crystal structure
Cell lengths 11.3213, 11.3213, 6.4368 Å; angles 90.00, 90.00, 120.00 degrees
Positions (direct):
Ba: 0.0000 0.0000 0.0000
Ca: 0.1579 0.7048 0.0000
Ca: 0.2952 0.4532 0.0000
Ca: 0.4532 0.1579 0.0000
Ca: 0.5468 0.8421 0.0000
Ca: 0.7048 0.5468 0.0000
Ca: 0.8421 0.2952 0.0000
Ac: 0.0242 0.3396 0.5000
Ac: 0.3154 0.9758 0.5000
Ac: 0.3333 0.6667 0.5000
Ac: 0.3396 0.3154 0.5000
Ac: 0.6604 0.6846 0.5000
Ac: 0.6667 0.3333 0.5000
Ac: 0.6846 0.0242 0.5000
Ac: 0.9758 0.6604 0.5000

Largest 10 diffraction maxima, sorted by position, 2θ from 10° to 90°:
| Position (°2θ) | intensity |
| --- | --- |
| 13.8 | 74 |
| 27.3 | 77 |
| 27.7 | 72 |
| 30.7 | 100 |
| 39.3 | 62 |
| 48.2 | 15 |
| 50.4 | 20 |
| 50.9 | 25 |
| 56.5 | 19 |
| 63.9 | 17 |

---

What is the formula in the second record?
Mg3Ti2O7